No. 1
The following is a computed powder diffraction line list of Tl3Mo10O30. It was derived from the GGA+U geometry in the Materials Project, using a wavelength of 1.5418 Å.
No peak broadening, texture or thermal motion is included.

Structural model:
Cell lengths 10.402, 10.402, 10.456 Å; angles 117.79, 117.79, 43.41 degrees
Positions (direct):
Tl1 0.000 0.000 0.000
Tl2 0.312 0.312 0.759
Tl3 0.688 0.688 0.241
Mo1 0.110 0.609 0.157
Mo2 0.168 0.680 0.540
Mo3 0.278 0.278 0.328
Mo4 0.320 0.832 0.460
Mo5 0.391 0.890 0.843
Mo6 0.609 0.110 0.157
Mo7 0.680 0.168 0.540
Mo8 0.722 0.722 0.672
Mo9 0.832 0.320 0.460
Mo10 0.890 0.391 0.843
O1 0.000 0.500 0.000
O2 0.074 0.559 0.341
O3 0.076 0.076 0.487
O4 0.143 0.143 0.828
O5 0.148 0.661 0.685
O6 0.186 0.186 0.168
O7 0.186 0.629 0.058
O8 0.214 0.704 0.356
O9 0.256 0.256 0.470
O10 0.296 0.786 0.644
O11 0.339 0.852 0.315
O12 0.343 0.343 0.191
O13 0.371 0.814 0.942
O14 0.413 0.413 0.506
O15 0.441 0.926 0.659
O16 0.500 0.000 0.000
O17 0.559 0.074 0.341
O18 0.587 0.587 0.494
O19 0.629 0.186 0.058
O20 0.657 0.657 0.809
O21 0.661 0.148 0.685
O22 0.704 0.214 0.356
O23 0.744 0.744 0.530
O24 0.786 0.296 0.644
O25 0.814 0.371 0.942
O26 0.814 0.814 0.832
O27 0.852 0.339 0.315
O28 0.857 0.857 0.172
O29 0.924 0.924 0.513
O30 0.926 0.441 0.659

Principal peaks in the range 5 to 70 degrees two-theta, sorted by position:
19.67 deg, intensity 76; 25.32 deg, intensity 100; 26.38 deg, intensity 92; 26.71 deg, intensity 71; 28.39 deg, intensity 50; 28.82 deg, intensity 69; 31.61 deg, intensity 39; 36.29 deg, intensity 38

No. 2
The following is a computed powder diffraction line list of Tl3Mo2O8. It was derived from the GGA+U geometry in the Materials Project, using a wavelength of 1.5418 Å.
No peak broadening, texture or thermal motion is included.

Structural model:
Cell lengths 6.146, 6.146, 16.168 Å; angles 90.00, 90.00, 120.00 degrees
Positions (direct):
Tl1 0.000 0.000 0.000
Tl2 0.000 0.000 0.237
Tl3 0.000 0.000 0.500
Tl4 0.000 0.000 0.737
Tl5 0.333 0.667 0.027
Tl6 0.667 0.333 0.527
Mo1 0.333 0.667 0.395
Mo2 0.333 0.667 0.648
Mo3 0.667 0.333 0.148
Mo4 0.667 0.333 0.895
O1 0.013 0.506 0.433
O2 0.170 0.340 0.613
O3 0.170 0.830 0.613
O4 0.333 0.667 0.286
O5 0.333 0.667 0.755
O6 0.340 0.170 0.113
O7 0.494 0.506 0.433
O8 0.494 0.987 0.433
O9 0.506 0.013 0.933
O10 0.506 0.494 0.933
O11 0.660 0.830 0.613
O12 0.667 0.333 0.255
O13 0.667 0.333 0.786
O14 0.830 0.170 0.113
O15 0.830 0.660 0.113
O16 0.987 0.494 0.933

Principal peaks in the range 5 to 70 degrees two-theta, sorted by position:
10.94 deg, intensity 24; 23.49 deg, intensity 51; 27.71 deg, intensity 52; 29.06 deg, intensity 100; 32.40 deg, intensity 20; 36.74 deg, intensity 30; 40.59 deg, intensity 23; 51.51 deg, intensity 21

No. 3
The following is a computed powder diffraction line list of TlMo6O17. It was derived from the GGA+U geometry in the Materials Project, using a wavelength of 1.5418 Å.
No peak broadening, texture or thermal motion is included.

Structural model:
Cell lengths 5.631, 5.631, 14.398 Å; angles 90.00, 90.00, 120.00 degrees
Positions (direct):
Tl1 0.000 0.000 0.000
Mo1 0.000 0.000 0.287
Mo2 0.000 0.000 0.713
Mo3 0.333 0.667 0.431
Mo4 0.333 0.667 0.855
Mo5 0.667 0.333 0.145
Mo6 0.667 0.333 0.569
O1 0.000 0.500 0.500
O2 0.158 0.316 0.815
O3 0.158 0.842 0.815
O4 0.164 0.328 0.347
O5 0.164 0.836 0.347
O6 0.316 0.158 0.185
O7 0.328 0.164 0.653
O8 0.333 0.667 0.977
O9 0.500 0.000 0.500
O10 0.500 0.500 0.500
O11 0.667 0.333 0.023
O12 0.672 0.836 0.347
O13 0.684 0.842 0.815
O14 0.836 0.164 0.653
O15 0.836 0.672 0.653
O16 0.842 0.158 0.185
O17 0.842 0.684 0.185

Principal peaks in the range 5 to 70 degrees two-theta, sorted by position:
19.22 deg, intensity 37; 22.02 deg, intensity 98; 26.05 deg, intensity 100; 30.88 deg, intensity 44; 31.78 deg, intensity 80; 44.90 deg, intensity 33; 53.24 deg, intensity 29; 55.31 deg, intensity 42

No. 4
The following is a computed powder diffraction line list of TmTlMo2O8. It was derived from the GGA+U geometry in the Materials Project, using a wavelength of 1.5418 Å.
No peak broadening, texture or thermal motion is included.

Structural model:
Cell lengths 15.331, 6.090, 9.076 Å; angles 90.00, 90.00, 90.00 degrees
Positions (direct):
Tm1 0.106 0.250 0.195
Tm2 0.394 0.750 0.695
Tm3 0.606 0.250 0.305
Tm4 0.894 0.750 0.805
Tl1 0.125 0.750 0.556
Tl2 0.375 0.250 0.056
Tl3 0.625 0.750 0.944
Tl4 0.875 0.250 0.444
Mo1 0.040 0.250 0.783
Mo2 0.216 0.750 0.996
Mo3 0.284 0.250 0.496
Mo4 0.460 0.750 0.283
Mo5 0.540 0.250 0.717
Mo6 0.716 0.750 0.504
Mo7 0.784 0.250 0.004
Mo8 0.960 0.750 0.217
O1 0.018 0.510 0.289
O2 0.018 0.990 0.289
O3 0.037 0.250 0.980
O4 0.140 0.750 0.852
O5 0.147 0.250 0.720
O6 0.177 0.250 0.408
O7 0.196 0.502 0.102
O8 0.196 0.998 0.102
O9 0.304 0.002 0.602
O10 0.304 0.498 0.602
O11 0.323 0.750 0.908
O12 0.353 0.750 0.220
O13 0.360 0.250 0.352
O14 0.463 0.750 0.480
O15 0.482 0.010 0.789
O16 0.482 0.490 0.789
O17 0.518 0.510 0.211
O18 0.518 0.990 0.211
O19 0.537 0.250 0.520
O20 0.640 0.750 0.648
O21 0.647 0.250 0.780
O22 0.677 0.250 0.092
O23 0.696 0.502 0.398
O24 0.696 0.998 0.398
O25 0.804 0.002 0.898
O26 0.804 0.498 0.898
O27 0.823 0.750 0.592
O28 0.853 0.750 0.280
O29 0.860 0.250 0.148
O30 0.963 0.750 0.020
O31 0.982 0.010 0.711
O32 0.982 0.490 0.711

Principal peaks in the range 5 to 70 degrees two-theta, sorted by position:
17.54 deg, intensity 20; 22.77 deg, intensity 30; 24.77 deg, intensity 79; 27.13 deg, intensity 100; 27.50 deg, intensity 20; 29.29 deg, intensity 96; 42.51 deg, intensity 19; 50.68 deg, intensity 22

No. 5
The following is a computed powder diffraction line list of Tm2Mo4O15. It was derived from the GGA+U geometry in the Materials Project, using a wavelength of 1.5418 Å.
No peak broadening, texture or thermal motion is included.

Structural model:
Cell lengths 6.863, 9.648, 10.635 Å; angles 90.00, 105.09, 90.00 degrees
Positions (direct):
Tm1 0.210 0.023 0.276
Tm2 0.210 0.477 0.776
Tm3 0.790 0.523 0.224
Tm4 0.790 0.977 0.724
Mo1 0.081 0.743 0.011
Mo2 0.081 0.757 0.511
Mo3 0.379 0.096 0.843
Mo4 0.379 0.404 0.343
Mo5 0.621 0.596 0.657
Mo6 0.621 0.904 0.157
Mo7 0.919 0.243 0.489
Mo8 0.919 0.257 0.989
O1 0.025 0.126 0.396
O2 0.025 0.374 0.896
O3 0.117 0.166 0.102
O4 0.117 0.334 0.602
O5 0.118 0.055 0.816
O6 0.118 0.445 0.316
O7 0.221 0.650 0.918
O8 0.221 0.850 0.418
O9 0.244 0.634 0.619
O10 0.244 0.866 0.119
O11 0.385 0.220 0.352
O12 0.385 0.280 0.852
O13 0.450 0.027 0.707
O14 0.450 0.473 0.207
O15 0.500 0.000 0.000
O16 0.500 0.500 0.500
O17 0.550 0.527 0.793
O18 0.550 0.973 0.293
O19 0.615 0.720 0.148
O20 0.615 0.780 0.648
O21 0.756 0.134 0.881
O22 0.756 0.366 0.381
O23 0.779 0.150 0.582
O24 0.779 0.350 0.082
O25 0.882 0.555 0.684
O26 0.882 0.945 0.184
O27 0.883 0.666 0.398
O28 0.883 0.834 0.898
O29 0.975 0.626 0.104
O30 0.975 0.874 0.604

Principal peaks in the range 5 to 70 degrees two-theta, sorted by position:
19.98 deg, intensity 60; 21.05 deg, intensity 34; 24.54 deg, intensity 28; 25.33 deg, intensity 100; 26.50 deg, intensity 44; 27.64 deg, intensity 35; 27.99 deg, intensity 34; 45.16 deg, intensity 31